Record 1
Simulated powder diffraction line list
Compound: Ce2PrSb3
Radiation: Cu Kα X-rays
Structure: a cell relaxed with GGA-PBE
Kinematic intensities with the Lorentz-polarization factor, no thermal factor.

Largest 6 diffraction maxima, sorted by position, 2θ from 10° to 80°:
| d (Å) | 2theta | I_rel |
| --- | --- | --- |
| 3.197 | 27.91 | 100.0 |
| 2.261 | 39.88 | 76.5 |
| 1.846 | 49.37 | 27.4 |
| 1.599 | 57.67 | 12.8 |
| 1.430 | 65.25 | 35.2 |
| 1.305 | 72.40 | 25.9 |

Structural model:
```
6
Lattice="-2.260 3.197 6.785 2.260 -3.197 6.785 2.260 3.197 -6.785" Properties=species:S:1:pos:R:3 pbc="T T T"
Ce 0.000 0.000 2.254
Ce 0.000 0.000 11.317
Pr 0.000 0.000 6.785
Sb 2.260 0.000 0.000
Sb 2.260 0.000 4.484
Sb 0.000 3.197 2.301
```

---

Record 2
Simulated powder diffraction line list
Compound: Ce5Pr3Sb8
Radiation: Cu Kα X-rays
Structure: a cell relaxed with GGA-PBE
Kinematic intensities with the Lorentz-polarization factor, no thermal factor.

Largest 6 diffraction maxima, sorted by position, 2θ from 10° to 80°:
| d (Å) | 2theta | I_rel |
| --- | --- | --- |
| 3.198 | 27.90 | 100.0 |
| 2.261 | 39.87 | 76.5 |
| 1.846 | 49.36 | 27.4 |
| 1.599 | 57.66 | 12.8 |
| 1.430 | 65.24 | 35.2 |
| 1.305 | 72.39 | 25.9 |

Structural model:
```
16
Lattice="4.521 2.610 7.389 -4.521 2.610 7.389 0.000 -5.220 7.389" Properties=species:S:1:pos:R:3 pbc="T T T"
Ce 0.000 0.000 0.000
Ce -2.260 -1.305 7.389
Ce -2.260 1.305 14.778
Ce 0.000 2.610 7.389
Ce 0.000 0.000 11.083
Pr -4.521 0.000 11.083
Pr -2.260 1.305 3.694
Pr 2.260 1.305 3.694
Sb 0.000 -2.592 9.210
Sb -2.245 1.296 9.210
Sb 0.000 0.000 5.584
Sb -2.245 -1.296 12.956
Sb 2.245 1.296 9.210
Sb 0.000 0.000 16.582
Sb 2.245 -1.296 12.956
Sb 0.000 2.592 12.956
```

---

Record 3
Simulated powder diffraction line list
Compound: Ce3Pr2SmSb6
Radiation: Cu Kα X-rays
Structure: a cell relaxed with GGA-PBE
Kinematic intensities with the Lorentz-polarization factor, no thermal factor.

Largest 6 diffraction maxima, sorted by position, 2θ from 10° to 80°:
| d (Å) | 2theta | I_rel |
| --- | --- | --- |
| 3.193 | 27.95 | 100.0 |
| 2.258 | 39.94 | 76.5 |
| 1.843 | 49.45 | 27.4 |
| 1.596 | 57.76 | 12.8 |
| 1.428 | 65.36 | 35.2 |
| 1.303 | 72.52 | 25.9 |

Structural model:
```
12
Lattice="3.910 -6.771 0.000 3.910 6.771 0.000 -2.607 0.000 7.375" Properties=species:S:1:pos:R:3 pbc="T T T"
Ce 0.000 0.000 0.000
Ce 3.910 2.272 0.000
Ce 3.910 -2.272 0.000
Pr 2.606 4.519 3.688
Pr 2.606 -4.519 3.688
Sm 2.606 0.000 3.688
Sb 1.316 2.237 1.822
Sb 0.024 0.000 5.563
Sb 1.316 -2.237 1.822
Sb 3.897 2.237 5.553
Sb 5.188 0.000 1.812
Sb 3.897 -2.237 5.553
```

---

Record 4
Simulated powder diffraction line list
Compound: Ce2PrSmSb5
Radiation: Cu Kα X-rays
Structure: a cell relaxed with GGA-PBE
Kinematic intensities with the Lorentz-polarization factor, no thermal factor.

Largest 6 diffraction maxima, sorted by position, 2θ from 10° to 80°:
| d (Å) | 2theta | I_rel |
| --- | --- | --- |
| 3.795 | 23.44 | 85.6 |
| 2.960 | 30.19 | 55.8 |
| 2.736 | 32.74 | 40.5 |
| 2.683 | 33.39 | 100.0 |
| 1.988 | 45.63 | 71.0 |
| 1.897 | 47.95 | 36.0 |

Structural model:
```
9
Lattice="5.366 0.000 0.000 0.000 5.366 0.000 0.000 0.000 11.841" Properties=species:S:1:pos:R:3 pbc="T T T"
Ce 0.000 0.000 2.572
Ce 0.000 0.000 9.269
Pr 2.683 2.683 5.921
Sm 2.683 2.683 0.000
Sb 0.000 0.000 5.921
Sb 0.000 2.683 0.000
Sb 2.683 0.000 0.000
Sb 2.683 2.683 2.965
Sb 2.683 2.683 8.876
```

---

Record 5
Simulated powder diffraction line list
Compound: CePr2ScSe4
Radiation: Cu Kα X-rays
Structure: a cell relaxed with GGA-PBE
Kinematic intensities with the Lorentz-polarization factor, no thermal factor.

Largest 6 diffraction maxima, sorted by position, 2θ from 10° to 80°:
| d (Å) | 2theta | I_rel |
| --- | --- | --- |
| 2.940 | 30.40 | 100.0 |
| 2.100 | 43.07 | 12.1 |
| 2.085 | 43.41 | 24.2 |
| 2.073 | 43.67 | 24.3 |
| 2.059 | 43.98 | 12.1 |
| 1.686 | 54.41 | 12.6 |

Structural model:
```
8
Lattice="7.197 0.000 0.000 0.000 4.118 0.000 -2.349 0.000 6.861" Properties=species:S:1:pos:R:3 pbc="T T T"
Ce 0.000 0.000 0.000
Pr -1.174 2.059 3.431
Pr 2.424 0.000 3.431
Sc 3.598 2.059 0.000
Se 1.296 2.059 1.615
Se 0.121 0.000 5.306
Se 4.727 0.000 1.555
Se 3.552 2.059 5.246
```

---

Record 6
Simulated powder diffraction line list
Compound: Ce2PrSe4
Radiation: Cu Kα X-rays
Structure: a cell relaxed with GGA-PBE
Kinematic intensities with the Lorentz-polarization factor, no thermal factor.

Largest 6 diffraction maxima, sorted by position, 2θ from 10° to 80°:
| d (Å) | 2theta | I_rel |
| --- | --- | --- |
| 6.898 | 12.83 | 28.3 |
| 3.003 | 29.75 | 100.0 |
| 2.967 | 30.12 | 48.5 |
| 2.111 | 42.84 | 73.2 |
| 1.729 | 52.94 | 19.6 |
| 1.340 | 70.23 | 24.7 |

Structural model:
```
14
Lattice="-4.238 4.257 5.935 4.238 -4.257 5.935 4.238 4.257 -5.935" Properties=species:S:1:pos:R:3 pbc="T T T"
Ce 0.000 0.000 0.000
Ce -2.119 2.128 2.967
Ce 0.000 4.257 0.000
Ce 2.119 2.128 2.967
Pr 2.119 2.128 -2.967
Pr 2.119 -2.128 2.967
Se 4.238 0.021 2.936
Se 2.043 2.128 0.018
Se 2.195 -2.128 5.953
Se 0.000 0.021 2.999
Se 4.238 4.236 2.936
Se 2.043 6.385 -0.018
Se 2.195 2.128 5.917
Se 0.000 4.236 2.999
```